The following is a simulated powder diffractogram of Dy3MnO7. It was derived from a cell relaxed with GGA+U, using CuKα.

Peak list (10 most intense, 2θ from 15° to 90°, sorted by position)
h k l	Position (°2θ)	I/Imax
2 2 0	29.5	99
0 2 2	29.8	100
2 0 2	34.3	44
0 4 0	34.5	19
4 0 0	49.0	12
2 4 2	49.5	53
0 0 4	49.6	17
4 2 2	58.4	21
2 2 4	58.8	37
2 6 4	80.4	11

Structure:
```
data_Dy3MnO7
_chemical_formula_sum 'Dy12 Mn4 O28'
_cell_length_a 7.437
_cell_length_b 10.399
_cell_length_c 7.347
_cell_angle_alpha 90.00
_cell_angle_beta 90.00
_cell_angle_gamma 90.00
_symmetry_space_group_name_H-M 'C 2 2 21'
_symmetry_Int_Tables_number 20
loop_
_symmetry_equiv_pos_as_xyz
'x,y,z'
'-x,-y,z+1/2'
'x,-y,-z'
'-x,y,-z+1/2'
'x+1/2,y+1/2,z'
'-x+1/2,-y+1/2,z+1/2'
'x+1/2,-y+1/2,-z'
'-x+1/2,y+1/2,-z+1/2'
loop_
_atom_site_label
_atom_site_fract_x
_atom_site_fract_y
_atom_site_fract_z
_atom_site_occupancy
Dy1 0.032 0.000 0.000 1
Dy2 0.232 0.272 0.756 1
Mn1 0.005 0.500 0.500 1
O1 0.000 0.131 0.250 1
O2 0.000 0.136 0.750 1
O3 0.000 0.432 0.750 1
O4 0.188 0.379 0.035 1
O5 0.200 0.377 0.474 1
```